The following is a calculated powder XRD pattern of LiTiV2CrO10. It was derived from the PBE+U geometry in Alexandria, using copper Kα.

Main lines, by angle (2θ from 10° to 90°):
- 2θ 16.36, d 5.417, rel. 100
- 2θ 21.38, d 4.156, rel. 38
- 2θ 27.53, d 3.241, rel. 68
- 2θ 32.19, d 2.781, rel. 49
- 2θ 35.94, d 2.499, rel. 10
- 2θ 42.85, d 2.110, rel. 14
- 2θ 45.19, d 2.007, rel. 11
- 2θ 56.29, d 1.634, rel. 11
- 2θ 56.82, d 1.620, rel. 13
- 2θ 69.36, d 1.355, rel. 11

Atomic structure:
```
data_LiTiV2CrO10
_cell_length_a 6.4810
_cell_length_b 6.4810
_cell_length_c 5.4170
_cell_angle_alpha 90.00
_cell_angle_beta 90.00
_cell_angle_gamma 90.00
_symmetry_space_group_name_H-M 'P -4 m 2'
_symmetry_Int_Tables_number 115
loop_
_symmetry_equiv_pos_as_xyz
'x,y,z'
'y,-x,-z'
'-x,-y,z'
'-y,x,-z'
'-x,y,z'
'-y,-x,-z'
'x,-y,z'
'y,x,-z'
loop_
_atom_site_label
_atom_site_fract_x
_atom_site_fract_y
_atom_site_fract_z
_atom_site_occupancy
Li1 0.0000 0.0000 0.0000 1
Ti1 0.0000 0.0000 0.5000 1
V1 0.0000 0.5000 0.6265 1
Cr1 0.5000 0.5000 0.5000 1
O1 0.0000 0.2162 0.7185 1
O2 0.0000 0.5000 0.3279 1
O3 0.2902 0.5000 0.6926 1
```

The following is a calculated powder XRD pattern of Li4V5Cr2O12. It was derived from the PBE+U geometry in Alexandria, using copper Kα.

Main lines, by angle (2θ from 10° to 90°):
- 2θ 18.26, d 4.859, rel. 41
- 2θ 19.38, d 4.579, rel. 24
- 2θ 23.70, d 3.754, rel. 35
- 2θ 36.65, d 2.452, rel. 16
- 2θ 42.08, d 2.148, rel. 100
- 2θ 44.00, d 2.058, rel. 43
- 2θ 60.67, d 1.526, rel. 13
- 2θ 61.37, d 1.511, rel. 13
- 2θ 62.38, d 1.489, rel. 25
- 2θ 62.65, d 1.483, rel. 24

Atomic structure:
```
data_Li4V5Cr2O12
_cell_length_a 5.1187
_cell_length_b 9.1589
_cell_length_c 9.9351
_cell_angle_alpha 90.00
_cell_angle_beta 102.01
_cell_angle_gamma 90.00
_symmetry_space_group_name_H-M 'P 1 21 1'
_symmetry_Int_Tables_number 4
loop_
_symmetry_equiv_pos_as_xyz
'x,y,z'
'-x,y+1/2,-z'
loop_
_atom_site_label
_atom_site_fract_x
_atom_site_fract_y
_atom_site_fract_z
_atom_site_occupancy
Li1 0.0026 0.0000 0.2556 1
Li2 0.0070 0.1698 0.7371 1
Li3 0.2596 0.1645 0.4985 1
Li4 0.4907 0.9925 0.7389 1
V1 0.0144 0.3205 0.2592 1
V2 0.2350 0.9996 0.0018 1
V3 0.2434 0.6529 0.0046 1
V4 0.2507 0.5081 0.5074 1
V5 0.4986 0.3287 0.7454 1
Cr1 0.2513 0.8311 0.5027 1
Cr2 0.2639 0.3237 0.0049 1
O1 0.1133 0.6765 0.6175 1
O2 0.1145 0.9835 0.6193 1
O3 0.1245 0.8287 0.1211 1
O4 0.1298 0.1678 0.1186 1
O5 0.1296 0.3417 0.6252 1
O6 0.1376 0.4761 0.1239 1
O7 0.3479 0.8309 0.8876 1
O8 0.3651 0.6730 0.3852 1
O9 0.3669 0.3507 0.3857 1
O10 0.3685 0.1713 0.8769 1
O11 0.3803 0.9747 0.3782 1
O12 0.3810 0.4779 0.8896 1
```

The following is a calculated powder XRD pattern of Li4V3CrO8. It was derived from the PBE+U geometry in Alexandria, using copper Kα.

Main lines, by angle (2θ from 10° to 90°):
- 2θ 18.16, d 4.885, rel. 100
- 2θ 35.19, d 2.550, rel. 41
- 2θ 36.81, d 2.442, rel. 13
- 2θ 42.76, d 2.115, rel. 88
- 2θ 46.81, d 1.941, rel. 13
- 2θ 56.52, d 1.628, rel. 16
- 2θ 62.07, d 1.495, rel. 47
- 2θ 65.26, d 1.430, rel. 14
- 2θ 74.36, d 1.276, rel. 6
- 2θ 78.31, d 1.221, rel. 14

Atomic structure:
```
data_Li4V3CrO8
_cell_length_a 5.1782
_cell_length_b 5.1792
_cell_length_c 5.9819
_cell_angle_alpha 90.06
_cell_angle_beta 106.71
_cell_angle_gamma 99.52
_symmetry_space_group_name_H-M 'P -1'
_symmetry_Int_Tables_number 2
loop_
_symmetry_equiv_pos_as_xyz
'x,y,z'
'-x,-y,-z'
loop_
_atom_site_label
_atom_site_fract_x
_atom_site_fract_y
_atom_site_fract_z
_atom_site_occupancy
Li1 0.0001 0.2429 0.3775 1
Li2 0.0031 0.7531 0.1287 1
V1 0.5000 0.0000 0.0000 1
V2 0.4998 0.4995 0.2500 1
Cr1 0.5000 0.0000 0.5000 1
O1 0.2704 0.6301 0.9429 1
O2 0.2717 0.1264 0.1957 1
O3 0.2719 0.1276 0.6904 1
O4 0.2738 0.6318 0.4437 1
```

The following is a calculated powder XRD pattern of Li4V3CrO8. It was derived from the PBE+U geometry in Alexandria, using copper Kα.

Main lines, by angle (2θ from 10° to 90°):
- 2θ 18.16, d 4.884, rel. 100
- 2θ 35.19, d 2.550, rel. 41
- 2θ 36.81, d 2.442, rel. 13
- 2θ 42.76, d 2.114, rel. 88
- 2θ 46.82, d 1.940, rel. 13
- 2θ 56.54, d 1.628, rel. 16
- 2θ 62.08, d 1.495, rel. 47
- 2θ 65.27, d 1.430, rel. 14
- 2θ 74.40, d 1.275, rel. 7
- 2θ 78.32, d 1.221, rel. 14

Atomic structure:
```
data_Li4V3CrO8
_cell_length_a 5.1769
_cell_length_b 5.9828
_cell_length_c 5.1794
_cell_angle_alpha 90.00
_cell_angle_beta 109.45
_cell_angle_gamma 90.00
_symmetry_space_group_name_H-M 'P 1 2/m 1'
_symmetry_Int_Tables_number 10
loop_
_symmetry_equiv_pos_as_xyz
'x,y,z'
'-x,-y,-z'
'-x,y,-z'
'x,-y,z'
loop_
_atom_site_label
_atom_site_fract_x
_atom_site_fract_y
_atom_site_fract_z
_atom_site_occupancy
Li1 0.0000 0.0000 0.0000 1
Li2 0.0000 0.5000 0.0000 1
Li3 0.5000 0.2456 0.0000 1
V1 0.0000 0.2500 0.5000 1
V2 0.5000 0.5000 0.5000 1
Cr1 0.5000 0.0000 0.5000 1
O1 0.2442 0.5000 0.7297 1
O2 0.2446 0.0000 0.7261 1
O3 0.2589 0.2474 0.2717 1
```